Calculated powder diffractogram
Compound: CaLaHg4
Radiation: copper Kα
Structure: a GGA-PBE-relaxed structure
Lines closer than 0.1° are merged.

Crystal structure
a b c (Å): 6.2148 6.2148 6.2148
angles (deg): 132.02 106.88 92.31
Atoms (fractional coordinates):
Ca  0.0000  0.0000  0.0000
La  0.5051  0.0051  0.5000
Hg  0.0979  0.3346  0.7633
Hg  0.4262  0.6697  0.7565
Hg  0.5713  0.3346  0.2367
Hg  0.9133  0.6697  0.2435

Peak list (10 most intense, 2θ = 10–90°, low angle first)
2θ 24.04, I = 54
2θ 31.71, I = 95
2θ 31.88, I = 49
2θ 35.53, I = 52
2θ 35.99, I = 100
2θ 43.36, I = 24
2θ 43.74, I = 47
2θ 48.47, I = 31
2θ 62.20, I = 35
2θ 62.47, I = 38


Calculated powder diffractogram
Compound: Pm2Y3Se8
Radiation: copper Kα
Structure: a GGA-PBE-relaxed structure
Lines closer than 0.1° are merged.

Crystal structure
a b c (Å): 8.3318 8.3318 7.0513
angles (deg): 106.80 106.80 59.78
Atoms (fractional coordinates):
Pm  0.2406  0.2406  0.1619
Pm  0.7594  0.7594  0.8381
Y  0.2390  0.7610  0.5000
Y  0.5000  0.5000  0.0000
Y  0.7610  0.2390  0.5000
Se  0.1210  0.1210  0.4208
Se  0.1415  0.6167  0.0878
Se  0.3833  0.8585  0.9122
Se  0.3838  0.3838  0.5784
Se  0.6162  0.6162  0.4216
Se  0.6167  0.1415  0.0878
Se  0.8585  0.3833  0.9122
Se  0.8790  0.8790  0.5792

Peak list (10 most intense, 2θ = 10–90°, low angle first)
2θ 19.83, I = 55
2θ 22.40, I = 42
2θ 25.12, I = 32
2θ 26.36, I = 38
2θ 33.21, I = 100
2θ 33.72, I = 48
2θ 39.94, I = 95
2θ 43.60, I = 36
2θ 44.29, I = 70
2θ 60.61, I = 22


Calculated powder diffractogram
Compound: Ta7Mo
Radiation: copper Kα
Structure: a GGA-PBE-relaxed structure
Lines closer than 0.1° are merged.

Crystal structure
a b c (Å): 5.7214 5.7214 5.7214
angles (deg): 109.47 109.47 109.47
Atoms (fractional coordinates):
Ta  0.0000  0.0000  0.5000
Ta  0.0000  0.5000  0.0000
Ta  0.0000  0.5000  0.5000
Ta  0.5000  0.0000  0.0000
Ta  0.5000  0.0000  0.5000
Ta  0.5000  0.5000  0.0000
Ta  0.5000  0.5000  0.5000
Mo  0.0000  0.0000  0.0000

Peak list (8 most intense, 2θ = 10–90°, low angle first)
2θ 19.00, I = 2
2θ 33.22, I = 1
2θ 38.54, I = 100
2θ 43.31, I = 1
2θ 51.78, I = 1
2θ 55.65, I = 17
2θ 69.73, I = 35
2θ 82.62, I = 11


Calculated powder diffractogram
Compound: Mg4BiIr
Radiation: copper Kα
Structure: a GGA-PBE-relaxed structure
Lines closer than 0.1° are merged.

Crystal structure
a b c (Å): 7.6331 7.6331 5.7507
angles (deg): 97.35 97.35 116.69
Atoms (fractional coordinates):
Mg  0.0554  0.7351  0.9661
Mg  0.2057  0.3342  0.5951
Mg  0.2649  0.9446  0.5339
Mg  0.3342  0.2057  0.0951
Mg  0.6658  0.7943  0.9049
Mg  0.7351  0.0554  0.4661
Mg  0.7943  0.6658  0.4049
Mg  0.9446  0.2649  0.0339
Bi  0.3595  0.6405  0.2500
Bi  0.6405  0.3595  0.7500
Ir  0.0018  0.9982  0.7500
Ir  0.9982  0.0018  0.2500

Peak list (10 most intense, 2θ = 10–90°, low angle first)
2θ 13.63, I = 44
2θ 18.48, I = 41
2θ 20.99, I = 46
2θ 22.88, I = 83
2θ 23.51, I = 100
2θ 34.09, I = 29
2θ 34.73, I = 27
2θ 37.73, I = 46
2θ 40.58, I = 37
2θ 42.49, I = 37


Calculated powder diffractogram
Compound: Pm6Cu2Ag
Radiation: copper Kα
Structure: a GGA-PBE-relaxed structure
Lines closer than 0.1° are merged.

Crystal structure
a b c (Å): 8.6580 8.6580 8.6580
angles (deg): 110.91 110.26 107.27
Atoms (fractional coordinates):
Pm  0.0578  0.2474  0.8104
Pm  0.1783  0.2745  0.4527
Pm  0.1783  0.7255  0.9038
Pm  0.3229  0.0185  0.6956
Pm  0.3229  0.6273  0.3044
Pm  0.4369  0.2474  0.1896
Pm  0.5631  0.7526  0.8104
Pm  0.6771  0.3727  0.6956
Pm  0.6771  0.9815  0.3044
Pm  0.8217  0.2745  0.0962
Pm  0.8217  0.7255  0.5473
Pm  0.9422  0.7526  0.1896
Cu  0.1185  0.6185  0.5000
Cu  0.3538  0.0000  0.3538
Cu  0.6462  0.0000  0.6462
Cu  0.8815  0.3815  0.5000
Ag  0.0000  0.0000  0.0000
Ag  0.5000  0.5000  0.0000

Peak list (10 most intense, 2θ = 10–90°, low angle first)
2θ 27.58, I = 19
2θ 28.73, I = 27
2θ 31.01, I = 100
2θ 33.17, I = 41
2θ 33.55, I = 61
2θ 33.87, I = 48
2θ 34.96, I = 18
2θ 36.61, I = 29
2θ 56.94, I = 23
2θ 57.48, I = 29


Calculated powder diffractogram
Compound: K2ErTeSe4
Radiation: copper Kα
Structure: a GGA-PBE-relaxed structure
Lines closer than 0.1° are merged.

Crystal structure
a b c (Å): 8.5956 8.5956 8.5043
angles (deg): 116.81 116.81 90.04
Atoms (fractional coordinates):
K  0.0000  0.0000  0.0000
K  0.0000  0.0000  0.5000
K  0.0000  0.5000  0.0000
K  0.5000  0.0000  0.5000
Er  0.5000  0.5000  0.0000
Er  0.5000  0.5000  0.5000
Te  0.0000  0.5000  0.5000
Te  0.5000  0.0000  0.0000
Se  0.2400  0.7083  0.4903
Se  0.2725  0.3048  0.5552
Se  0.2917  0.7600  0.0097
Se  0.3048  0.2725  0.0552
Se  0.6952  0.7275  0.9448
Se  0.7083  0.2400  0.9903
Se  0.7275  0.6952  0.4448
Se  0.7600  0.2917  0.5097

Peak list (10 most intense, 2θ = 10–90°, low angle first)
2θ 11.93, I = 96
2θ 12.73, I = 35
2θ 27.24, I = 100
2θ 29.38, I = 85
2θ 29.55, I = 84
2θ 38.49, I = 37
2θ 40.49, I = 63
2θ 42.16, I = 58
2θ 42.66, I = 31
2θ 49.14, I = 31


Calculated powder diffractogram
Compound: LaPmDy2Th
Radiation: copper Kα
Structure: a GGA-PBE-relaxed structure
Lines closer than 0.1° are merged.

Crystal structure
a b c (Å): 6.2775 5.8634 9.6686
angles (deg): 90.00 108.88 90.00
Atoms (fractional coordinates):
La  0.0713  0.2500  0.2930
La  0.9287  0.7500  0.7070
Pm  0.2768  0.2500  0.7044
Pm  0.7232  0.7500  0.2956
Dy  0.3294  0.7500  0.4923
Dy  0.4528  0.2500  0.0966
Dy  0.5472  0.7500  0.9034
Dy  0.6706  0.2500  0.5077
Th  0.1298  0.7500  0.0888
Th  0.8702  0.2500  0.9112

Peak list (10 most intense, 2θ = 10–90°, low angle first)
2θ 28.23, I = 44
2θ 30.49, I = 72
2θ 32.15, I = 100
2θ 32.18, I = 87
2θ 32.35, I = 92
2θ 42.03, I = 30
2θ 50.23, I = 35
2θ 55.26, I = 40
2θ 59.90, I = 42
2θ 60.68, I = 30


Calculated powder diffractogram
Compound: LaPrNd2Er
Radiation: copper Kα
Structure: a GGA-PBE-relaxed structure
Lines closer than 0.1° are merged.

Crystal structure
a b c (Å): 9.2004 6.5026 6.5143
angles (deg): 90.00 110.04 90.00
Atoms (fractional coordinates):
La  0.0000  0.0000  0.0000
La  0.0000  0.0000  0.5000
Pr  0.5000  0.1614  0.2500
Pr  0.5000  0.8386  0.7500
Nd  0.3161  0.3228  0.6593
Nd  0.3161  0.6772  0.1593
Nd  0.6839  0.3228  0.8407
Nd  0.6839  0.6772  0.3407
Er  0.0000  0.4961  0.2500
Er  0.0000  0.5039  0.7500

Peak list (10 most intense, 2θ = 10–90°, low angle first)
2θ 27.39, I = 43
2θ 29.36, I = 100
2θ 31.04, I = 35
2θ 31.18, I = 76
2θ 32.28, I = 75
2θ 32.53, I = 71
2θ 34.52, I = 39
2θ 37.04, I = 50
2θ 37.42, I = 49
2θ 60.72, I = 43


Calculated powder diffractogram
Compound: BeNi12Sn3
Radiation: copper Kα
Structure: a GGA-PBE-relaxed structure
Lines closer than 0.1° are merged.

Crystal structure
a b c (Å): 3.7100 3.7100 14.2791
angles (deg): 90.00 90.00 90.00
Atoms (fractional coordinates):
Be  0.0000  0.0000  0.0000
Ni  0.0000  0.5000  0.1044
Ni  0.0000  0.5000  0.3684
Ni  0.0000  0.5000  0.6316
Ni  0.0000  0.5000  0.8956
Ni  0.5000  0.0000  0.1044
Ni  0.5000  0.0000  0.3684
Ni  0.5000  0.0000  0.6316
Ni  0.5000  0.0000  0.8956
Ni  0.5000  0.5000  0.0000
Ni  0.5000  0.5000  0.2387
Ni  0.5000  0.5000  0.5000
Ni  0.5000  0.5000  0.7613
Sn  0.0000  0.0000  0.2356
Sn  0.0000  0.0000  0.5000
Sn  0.0000  0.0000  0.7644

Peak list (10 most intense, 2θ = 10–90°, low angle first)
2θ 39.21, I = 11
2θ 42.78, I = 100
2θ 44.41, I = 6
2θ 49.11, I = 37
2θ 51.17, I = 13
2θ 68.35, I = 7
2θ 71.99, I = 11
2θ 73.65, I = 15
2θ 83.00, I = 8
2θ 87.53, I = 24


Calculated powder diffractogram
Compound: AcTl3Sb2Se6
Radiation: copper Kα
Structure: a GGA-PBE-relaxed structure
Lines closer than 0.1° are merged.

Crystal structure
a b c (Å): 7.5101 7.5101 8.0532
angles (deg): 98.96 98.96 119.70
Atoms (fractional coordinates):
Ac  0.0000  0.0000  0.0000
Tl  0.1633  0.8367  0.5000
Tl  0.5000  0.5000  0.5000
Tl  0.8367  0.1633  0.5000
Sb  0.3342  0.6658  0.0000
Sb  0.6658  0.3342  0.0000
Se  0.0728  0.4235  0.2145
Se  0.2829  0.2829  0.7918
Se  0.4235  0.0728  0.2145
Se  0.5765  0.9272  0.7855
Se  0.7171  0.7171  0.2082
Se  0.9272  0.5765  0.7855

Peak list (10 most intense, 2θ = 10–90°, low angle first)
2θ 23.24, I = 9
2θ 24.96, I = 14
2θ 28.37, I = 100
2θ 39.40, I = 13
2θ 39.53, I = 25
2θ 41.53, I = 24
2θ 41.72, I = 12
2θ 51.21, I = 13
2θ 65.01, I = 10
2θ 67.84, I = 11


Calculated powder diffractogram
Compound: CsCeAgI5
Radiation: copper Kα
Structure: a GGA-PBE-relaxed structure
Lines closer than 0.1° are merged.

Crystal structure
a b c (Å): 8.7658 8.7658 11.8969
angles (deg): 103.33 103.33 106.26
Atoms (fractional coordinates):
Cs  0.1485  0.8515  0.7500
Cs  0.8515  0.1485  0.2500
Ce  0.5000  0.5000  0.0000
Ce  0.5000  0.5000  0.5000
Ag  0.1909  0.8091  0.2500
Ag  0.8091  0.1909  0.7500
I  0.1257  0.2663  0.9347
I  0.1858  0.5956  0.3984
I  0.2663  0.1257  0.4347
I  0.4044  0.8142  0.1016
I  0.4248  0.5752  0.7500
I  0.5752  0.4248  0.2500
I  0.5956  0.1858  0.8984
I  0.7337  0.8743  0.5653
I  0.8142  0.4044  0.6016
I  0.8743  0.7337  0.0653

Peak list (10 most intense, 2θ = 10–90°, low angle first)
2θ 16.45, I = 74
2θ 18.27, I = 40
2θ 21.11, I = 37
2θ 23.31, I = 42
2θ 23.85, I = 100
2θ 26.32, I = 37
2θ 32.02, I = 38
2θ 33.68, I = 36
2θ 35.94, I = 27
2θ 38.95, I = 47


Calculated powder diffractogram
Compound: YNi2Os2
Radiation: copper Kα
Structure: a GGA-PBE-relaxed structure
Lines closer than 0.1° are merged.

Crystal structure
a b c (Å): 5.7998 5.7998 5.7998
angles (deg): 138.63 138.63 59.93
Atoms (fractional coordinates):
Y  0.0000  0.0000  0.0000
Ni  0.2500  0.7500  0.5000
Ni  0.7500  0.2500  0.5000
Os  0.3853  0.3853  0.0000
Os  0.6147  0.6147  0.0000

Peak list (10 most intense, 2θ = 10–90°, low angle first)
2θ 23.45, I = 100
2θ 30.87, I = 79
2θ 34.59, I = 95
2θ 35.78, I = 76
2θ 44.21, I = 95
2θ 47.93, I = 69
2θ 50.60, I = 93
2θ 57.32, I = 45
2θ 69.42, I = 57
2θ 84.04, I = 35